Record 1
# Ac2ThBi2N2
Computed XRD peak list, Cu Kα, 1.54184 Å. Input: a structure optimized by DFT (PBE).
Lines closer than 0.1° are merged.

Most intense lines, 2θ from 5° to 70°, in order of rising 2θ:
d_spacing	2θ (°)	Rel. int.
3.341	26.7	77
2.775	32.3	100
2.362	38.1	34
1.799	50.8	58
1.525	60.7	16
1.494	62.1	16
1.431	65.2	14
1.387	67.5	13

Crystal structure
```
Ac2ThBi2N2
1.0
-2.3623 2.3623 8.5702
2.3623 -2.3623 8.5702
2.3623 2.3623 -8.5702
Ac Th Bi N
2 1 2 2
Cartesian
0.0000 0.0000 1.7705
0.0000 0.0000 15.3700
0.0000 0.0000 8.5702
0.0000 0.0000 5.0881
0.0000 0.0000 12.0524
2.3623 0.0000 0.0000
0.0000 2.3623 0.0000
```

---

Record 2
# Na6AcBi4
Computed XRD peak list, Cu Kα, 1.54184 Å. Input: a structure optimized by DFT (PBE).
Lines closer than 0.1° are merged.

Most intense lines, 2θ from 5° to 70°, in order of rising 2θ:
d_spacing	2θ (°)	Rel. int.
9.113	9.7	44
4.556	19.5	100
3.073	29.1	68
2.912	30.7	54
2.631	34.1	73
2.548	35.2	34
2.369	38.0	34
1.537	60.2	29

Crystal structure
```
Na6AcBi4
1.0
10.5227 0.0000 0.0000
-5.2613 9.1129 0.0000
0.0000 0.0000 3.7863
Na Ac Bi
6 1 4
Cartesian
0.0000 3.5418 0.0000
-2.1940 7.3420 0.0000
5.2613 0.5191 1.8932
3.0802 4.2969 1.8932
2.1940 7.3420 0.0000
7.4424 4.2969 1.8932
0.0000 0.0000 1.8932
2.5746 1.4864 0.0000
0.0000 6.0753 1.8932
7.9481 1.4864 0.0000
5.2613 6.1401 0.0000
```

---

Record 3
# Na3AcBi3
Computed XRD peak list, Cu Kα, 1.54184 Å. Input: a structure optimized by DFT (PBE).
Lines closer than 0.1° are merged.

Most intense lines, 2θ from 5° to 70°, in order of rising 2θ:
d_spacing	2θ (°)	Rel. int.
7.890	11.2	78
3.873	23.0	100
3.113	28.7	77
2.925	30.6	38
2.785	32.1	37
2.671	33.5	37
2.584	34.7	42
2.412	37.3	34

Crystal structure
```
Na3AcBi3
1.0
5.0661 2.9249 6.0085
-5.0661 2.9249 6.0085
0.0000 -5.8499 6.0085
Na Ac Bi
6 2 6
Cartesian
-1.2401 -3.5877 7.5251
-3.7271 -0.7199 10.5005
-2.4870 2.8678 7.5251
2.4870 -2.8678 10.5005
3.7271 0.7200 7.5251
1.2401 3.5877 10.5005
0.0000 0.0000 5.5735
0.0000 0.0000 12.4521
-2.7874 -0.5673 7.4060
-0.9024 -2.6976 10.6195
1.8850 -2.1303 7.4060
-1.8850 2.1303 10.6195
0.9024 2.6976 7.4060
2.7874 0.5673 10.6195
```